Structure and simulated powder X-ray diffraction pattern of K2Na2NpO6 (a DFT-relaxed cell (PBE, Alexandria); λ = 1.5418 Å (Cu Kα)).
Intensities are scaled so that the largest is 100.

Main lines, low angle first (10 to 80 degrees two-theta):
Position (°2θ)	intensity
14.5	54
17.8	100
19.1	35
23.0	50
29.0	25
31.0	24
31.8	21
34.1	23
34.3	18
36.8	37

a b c (Å): 5.882 5.882 6.578
angles (deg): 101.08 101.08 116.58
Fractional coordinates of all 11 atoms:
K  0.184  0.816  0.000
K  0.816  0.184  0.000
Na  0.341  0.659  0.500
Na  0.659  0.341  0.500
Np  0.000  0.000  0.500
O  0.050  0.342  0.686
O  0.201  0.201  0.319
O  0.342  0.050  0.686
O  0.658  0.950  0.314
O  0.799  0.799  0.681
O  0.950  0.658  0.314